Theoretical powder diffraction line list
Compound: Nd3Ge2Ir2
Radiation: copper Kα
Structure: DFT lattice parameters and positions (PBE)
Lines closer than 0.1° are merged.

Cell lengths 5.767, 8.077, 13.583 Å; angles 90.00, 90.00, 90.00 degrees
Fractional positions:
Nd: 0.129 0.250 0.250
Nd: 0.129 0.250 0.750
Nd: 0.359 0.610 0.101
Nd: 0.359 0.610 0.399
Nd: 0.359 0.890 0.601
Nd: 0.359 0.890 0.899
Nd: 0.641 0.110 0.101
Nd: 0.641 0.110 0.399
Nd: 0.641 0.390 0.601
Nd: 0.641 0.390 0.899
Nd: 0.871 0.750 0.250
Nd: 0.871 0.750 0.750
Ge: 0.133 0.250 0.000
Ge: 0.133 0.250 0.500
Ge: 0.360 0.602 0.750
Ge: 0.360 0.898 0.250
Ge: 0.640 0.102 0.750
Ge: 0.640 0.398 0.250
Ge: 0.867 0.750 0.000
Ge: 0.867 0.750 0.500
Ir: 0.130 0.535 0.591
Ir: 0.130 0.535 0.909
Ir: 0.130 0.965 0.091
Ir: 0.130 0.965 0.409
Ir: 0.870 0.035 0.591
Ir: 0.870 0.035 0.909
Ir: 0.870 0.465 0.091
Ir: 0.870 0.465 0.409

The 10 most intense peaks (2θ from 10° to 80°), low angle first:
32.55°, d = 2.751 Å, I = 32, (1 1 4)
32.99°, d = 2.716 Å, I = 25, (2 1 0)
33.55°, d = 2.671 Å, I = 39, (1 2 3)
33.66°, d = 2.663 Å, I = 26, (2 1 1)
34.51°, d = 2.599 Å, I = 37, (0 2 4)
36.84°, d = 2.440 Å, I = 49, (1 3 0)
37.97°, d = 2.370 Å, I = 22, (1 2 4)
38.66°, d = 2.329 Å, I = 100, (2 1 3)
39.82°, d = 2.264 Å, I = 31, (0 0 6)
42.07°, d = 2.148 Å, I = 22, (1 3 3)